Starting from a GGA+U-relaxed structure, the powder X-ray diffraction pattern of YFeCl2O3 was computed for a wavelength of 1.5418 Å.
Intensities are scaled so that the largest is 100.

Atomic structure:
```
YFeCl2O3
1.0
8.8003 -1.7385 0.0000
8.8003 1.7385 0.0000
-7.0535 0.0000 8.7133
Y Fe Cl O
2 2 4 6
direct
0.1111 0.1111 0.3578 Y
0.8889 0.8889 0.6422 Y
0.5000 0.5000 0.0000 Fe
0.5000 0.5000 0.5000 Fe
0.0875 0.0875 0.6978 Cl
0.1266 0.1266 0.1044 Cl
0.8734 0.8734 0.8956 Cl
0.9125 0.9125 0.3022 Cl
0.2704 0.2704 0.5804 O
0.4100 0.4100 0.5270 O
0.4758 0.4758 0.8187 O
0.5242 0.5242 0.1813 O
0.5900 0.5900 0.4730 O
0.7296 0.7296 0.4196 O
```

Principal peaks in the range 2θ from 10° to 90°, by angle:
Position (°2θ)  intensity
10.2  100
12.9  66
24.6  18
31.0  27
31.1  14
32.4  28
37.6  21
37.8  19
42.0  29
53.5  15